This entry pairs a crystal structure of TeWS with its theoretical powder XRD pattern. Radiation: Cu Kα, 1.54184 Å. Structure: a crystal structure in the Materials Project, relaxed with PBE.
Peak positions follow from Bragg's law for the DFT cell and can differ from measured ones.

Top 12 peaks for 10 to 80 degrees two-theta, low angle first:
two_theta, I (rel.), index
11.5, 100.0, 0 0 5
13.8, 23.5, 0 0 6
30.7, 34.7, 1 0 0
31.1, 11.8, 0 1 2
32.9, 14.0, 1 0 5
33.8, 12.1, 0 1 6
36.1, 81.2, 0 1 8
38.8, 18.4, 1 0 10
43.7, 38.6, 1 0 13
45.5, 12.1, 1 0 14
54.6, 23.0, 1 1 0
67.2, 13.2, 2 0 8

```
TeWS
1.0
3.360 0.000 0.000
-1.680 2.910 0.000
0.000 0.000 38.368
Te W S
4 4 4
direct
0.333 0.667 0.232
0.333 0.667 0.331
0.667 0.333 0.669
0.667 0.333 0.768
0.333 0.667 0.094
0.333 0.667 0.718
0.667 0.333 0.282
0.667 0.333 0.906
0.333 0.667 0.867
0.333 0.667 0.946
0.667 0.333 0.054
0.667 0.333 0.133
```